Starting from a PBE-relaxed structure, the X-ray diffraction stick pattern of PbSe6Br12 was simulated for Cu Kα.
Peak positions follow from Bragg's law for the DFT cell and can differ from measured ones.

```
19
Lattice="5.656 3.265 7.690 -5.656 3.265 7.690 0.000 -6.531 7.690" Properties=species:S:1:pos:R:3 pbc="T T T"
Pb 0.000 0.000 0.000
Se -4.267 -0.280 12.473
Se -3.388 1.895 12.201
Se 0.054 -3.882 12.201
Se 2.376 -3.555 12.473
Se 1.891 3.835 12.473
Se 3.335 1.987 12.201
Br -2.716 -0.625 7.059
Br -3.334 -3.040 13.680
Br -0.364 -3.816 9.772
Br -3.123 2.223 9.772
Br 1.899 -2.039 7.059
Br 0.816 2.664 7.059
Br -2.432 -0.083 17.955
Br -0.966 4.408 13.680
Br 1.288 -2.065 17.955
Br 3.486 1.593 9.772
Br 4.300 -1.368 13.680
Br 1.144 2.147 17.955
```

Most intense lines, 10 to 90 degrees two-theta, by angle:
2theta  intensity
15.7  31
18.5  38
19.5  35
25.3  100
28.6  23
36.5  24



Starting from a PBE-relaxed structure, the X-ray diffraction stick pattern of Pu2Tl3NiS6 was simulated for Cu Kα.
Peak positions follow from Bragg's law for the DFT cell and can differ from measured ones.

```
12
Lattice="3.366 -5.809 0.000 3.366 5.809 0.000 -2.245 0.000 7.518" Properties=species:S:1:pos:R:3 pbc="T T T"
Pu 3.366 3.875 0.000
Pu 3.366 -3.875 0.000
Tl -1.123 0.000 3.759
Tl 2.244 1.976 3.759
Tl 2.244 -1.976 3.759
Ni 3.366 0.000 0.000
S 0.056 1.835 6.111
S 1.212 0.000 1.447
S 0.056 -1.835 6.111
S 4.431 1.835 1.407
S 3.275 0.000 6.071
S 4.431 -1.835 1.407
```

Most intense lines, 10 to 90 degrees two-theta, by angle:
2theta  intensity
23.7  36
27.7  67
31.0  100
41.8  40
46.8  22
48.6  20